# 1
Diffraction record for Y2AlZn. The PXRD pattern is theoretical, not measured: it uses a GGA-PBE-relaxed structure and λ = 1.5418 Å (Cu Kα).
Neutral-atom scattering factors, no anomalous dispersion.

Structure:
```
4
Lattice="0.000 3.602 3.602 3.602 0.000 3.602 3.602 3.602 0.000" Properties=species:S:1:pos:R:3 pbc="T T T"
Y 1.801 1.801 1.801
Y 5.403 5.403 5.403
Al 0.000 0.000 0.000
Zn 3.602 3.602 3.602
```

Most intense lines, 10° ≤ 2θ ≤ 90°, sorted by position:
2θ = 21.4°, rel. 5.8; 2θ = 24.7°, rel. 11.3; 2θ = 35.2°, rel. 100.0; 2θ = 41.6°, rel. 3.2; 2θ = 43.5°, rel. 3.2; 2θ = 50.7°, rel. 17.2; 2θ = 57.2°, rel. 4.2; 2θ = 63.2°, rel. 34.5; 2θ = 74.5°, rel. 10.4; 2θ = 85.2°, rel. 14.6



# 2
Diffraction record for Hg2As3Br. The PXRD pattern is theoretical, not measured: it uses a GGA-PBE-relaxed structure and λ = 1.5418 Å (Cu Kα).
Neutral-atom scattering factors, no anomalous dispersion.

Structure:
```
12
Lattice="4.154 -4.756 0.000 4.154 4.756 0.000 -1.246 0.000 8.295" Properties=species:S:1:pos:R:3 pbc="T T T"
Hg 1.675 1.264 1.321
Hg 1.052 -1.264 5.469
Hg 6.010 1.264 2.826
Hg 5.387 -1.264 6.973
As 3.219 1.940 6.221
As 2.450 0.579 4.288
As 3.073 -0.579 0.141
As 3.989 0.579 8.154
As 4.612 -0.579 4.006
As 3.842 -1.940 2.074
Br 3.842 3.471 2.074
Br 3.219 -3.471 6.221
```

Most intense lines, 10° ≤ 2θ ≤ 90°, sorted by position:
2θ = 18.8°, rel. 22.6; 2θ = 21.6°, rel. 35.5; 2θ = 27.2°, rel. 55.1; 2θ = 29.5°, rel. 100.0; 2θ = 31.9°, rel. 16.0; 2θ = 34.0°, rel. 20.9; 2θ = 37.0°, rel. 15.3; 2θ = 43.6°, rel. 22.7; 2θ = 44.0°, rel. 16.4; 2θ = 46.3°, rel. 36.2